# 1
Theoretical powder XRD pattern of Dy7Ho5 for Cu Kα, from DFT lattice parameters and positions (PBE).

Peak list (12 most intense, 2θ from 15° to 90°, by angle)
index, Position (°2θ), I/Imax
6 0 -1, 30.18, 42.5
0 0 4, 31.29, 34.5
3 1 -3, 33.16, 100.0
6 0 -5, 37.66, 23.6
6 0 3, 49.74, 10.7
0 2 0, 51.65, 25.6
3 1 -7, 56.89, 21.6
9 1 1, 61.64, 30.1
12 0 -6, 62.76, 16.0
12 0 -10, 80.40, 8.0
12 2 -6, 85.52, 13.9
9 1 5, 87.78, 11.7

Structural model:
Unit cell a=18.394 b=3.539 c=12.977 alpha=90.00 beta=118.21 gamma=90.00
Space group C2/m (No. 12)
Asymmetric unit:
Dy 0.000 0.000 0.000
Dy 0.028 0.500 0.250
Dy 0.139 0.000 0.750
Dy 0.167 0.000 0.500
Ho 0.000 0.500 0.500
Ho 0.167 0.500 0.000
Ho 0.195 0.000 0.250



# 2
Theoretical powder XRD pattern of VCuN for Cu Kα, from DFT lattice parameters and positions (PBE).

Peak list (11 most intense, 2θ from 15° to 90°, by angle)
index, Position (°2θ), I/Imax
1 0 0, 31.89, 8.4
1 0 1, 39.06, 100.0
0 0 2, 44.77, 25.4
1 1 0, 45.73, 47.4
1 0 2, 56.02, 2.9
1 1 2, 65.92, 28.0
2 0 0, 66.67, 13.5
2 1 0, 75.81, 1.0
1 0 3, 78.68, 11.4
2 1 1, 80.06, 21.7
2 0 2, 83.92, 13.4

Structural model:
Unit cell a=2.806 b=2.806 c=4.049 alpha=90.00 beta=90.00 gamma=90.00
Space group P4/mmm (No. 123)
Asymmetric unit:
V 0.000 0.000 0.000
Cu 0.500 0.500 0.500
N 0.500 0.500 0.000



# 3
Theoretical powder XRD pattern of SrPr2N for Cu Kα, from DFT lattice parameters and positions (PBE).

Peak list (12 most intense, 2θ from 15° to 90°, by angle)
index, Position (°2θ), I/Imax
0 0 9, 26.16, 47.2
1 0 1, 27.81, 100.0
1 0 4, 30.05, 34.1
0 1 5, 31.33, 19.9
1 0 7, 34.53, 44.1
0 1 8, 36.40, 92.2
1 1 0, 48.90, 40.1
1 0 16, 55.80, 24.9
1 1 9, 56.30, 34.4
0 1 17, 58.65, 17.5
2 0 8, 62.47, 18.6
1 2 8, 83.13, 16.7

Structural model:
Unit cell a=3.7250 b=3.7250 c=30.6591 alpha=90.00 beta=90.00 gamma=120.00
Space group R-3m (No. 166, hexagonal axes)
Asymmetric unit:
Sr 0.0000 0.0000 0.0000
Pr 0.0000 0.0000 0.1219
N 0.0000 0.0000 0.5000



# 4
Theoretical powder XRD pattern of Cs2YNiBr6 for Cu Kα, from DFT lattice parameters and positions (PBE).

Peak list (12 most intense, 2θ from 15° to 90°, by angle)
index, Position (°2θ), I/Imax
2 0 0, 22.84, 38.3
2 0 2, 28.06, 84.9
2 2 0, 32.52, 100.0
2 0 4, 40.11, 16.9
4 0 0, 46.65, 70.8
2 0 6, 55.33, 36.4
4 0 4, 58.01, 24.3
4 2 4, 63.17, 8.9
4 2 6, 75.20, 14.8
2 2 8, 77.42, 10.4
6 2 0, 77.56, 20.6
6 2 4, 86.63, 15.8

Structural model:
Unit cell a=7.783 b=7.783 c=11.031 alpha=90.00 beta=90.00 gamma=90.00
Space group I4/mmm (No. 139)
Asymmetric unit:
Cs 0.000 0.500 0.250
Y 0.000 0.000 0.000
Ni 0.000 0.000 0.500
Br 0.000 0.000 0.255
Br 0.244 0.244 0.500



# 5
Theoretical powder XRD pattern of TlAg2AuI4 for Cu Kα, from DFT lattice parameters and positions (PBE).

Peak list (12 most intense, 2θ from 15° to 90°, by angle)
index, Position (°2θ), I/Imax
1 1 0, 15.49, 14.7
1 1 2, 25.49, 100.0
1 2 1, 26.18, 22.9
0 2 2, 29.43, 20.1
2 0 2, 30.48, 22.3
2 2 0, 31.27, 71.3
1 3 2, 39.95, 26.8
3 1 2, 41.55, 29.6
1 1 4, 43.97, 23.6
4 0 0, 46.27, 12.7
2 3 3, 50.77, 14.8
2 2 6, 72.19, 12.9

Structural model:
Unit cell a=7.849 b=8.358 c=8.829 alpha=90.00 beta=90.00 gamma=90.00
Space group I222 (No. 23)
Asymmetric unit:
Tl 0.000 0.000 0.000
Ag 0.000 0.500 0.171
Au 0.000 0.000 0.500
I 0.223 0.194 0.329